This entry pairs a crystal structure of Li3MnFe2B3O9 with its theoretical powder diffraction line list. Radiation: Cu Ka. Structure: a cell relaxed with GGA+U.

Most intense lines, 2θ = 15–90°, sorted by position:
| Position (°2θ) | I (rel.) |
| --- | --- |
| 21.53 | 100 |
| 35.85 | 78 |
| 37.74 | 32 |
| 47.85 | 28 |
| 53.06 | 16 |
| 54.68 | 16 |

a = 8.831 Å, b = 8.831 Å, c = 8.255 Å
α = 117.74°, β = 117.74°, γ = 41.82°
Sites, in units of the cell vectors:
Li 0.115 0.616 0.317
Li 0.248 0.752 0.000
Li 0.408 0.911 0.586
Li 0.616 0.115 0.317
Li 0.752 0.248 0.000
Li 0.911 0.408 0.586
Mn 0.515 0.515 0.673
Mn 0.688 0.688 0.289
Fe 0.012 0.012 0.670
Fe 0.189 0.189 0.294
Fe 0.325 0.325 0.943
Fe 0.824 0.824 0.941
B 0.009 0.009 0.301
B 0.092 0.592 0.636
B 0.423 0.928 0.968
B 0.507 0.507 0.301
B 0.592 0.092 0.636
B 0.928 0.423 0.968
O 0.023 0.523 0.048
O 0.041 0.535 0.442
O 0.049 0.549 0.744
O 0.106 0.106 0.409
O 0.185 0.693 0.722
O 0.366 0.872 0.774
O 0.382 0.889 0.081
O 0.450 0.450 0.380
O 0.467 0.467 0.106
O 0.523 0.023 0.048
O 0.535 0.041 0.442
O 0.549 0.049 0.744
O 0.604 0.604 0.414
O 0.693 0.185 0.722
O 0.872 0.366 0.774
O 0.889 0.382 0.081
O 0.955 0.955 0.388
O 0.966 0.966 0.107